Record 1
Rb2GeBiCl6: theoretical XRD peak list (Cu Kα (weighted mean of Kα1 and Kα2)), based on a crystal structure in Alexandria, relaxed with GGA-PBE.
Kinematic intensities with the Lorentz-polarization factor, no thermal factor.

Cell and atoms:
a b c (Å): 7.750 7.750 7.750
angles (deg): 120.20 120.20 89.65
Element x y z (fractional)
Rb: 0.250 0.750 0.500
Rb: 0.750 0.250 0.500
Ge: 0.000 0.000 0.000
Bi: 0.500 0.500 0.000
Cl: 0.244 0.244 0.000
Cl: 0.244 0.244 0.488
Cl: 0.244 0.756 0.000
Cl: 0.756 0.244 0.000
Cl: 0.756 0.756 0.000
Cl: 0.756 0.756 0.512

Largest 10 diffraction maxima, by angle, 15 to 90 degrees two-theta:
| 2θ (°) | d [Å] | Rel. int. |
| --- | --- | --- |
| 16.2 | 5.474 | 26 |
| 23.0 | 3.871 | 100 |
| 32.6 | 2.748 | 22 |
| 32.8 | 2.732 | 43 |
| 40.3 | 2.239 | 16 |
| 40.4 | 2.233 | 32 |
| 46.9 | 1.937 | 30 |
| 53.0 | 1.728 | 15 |
| 58.4 | 1.580 | 15 |
| 63.7 | 1.462 | 17 |

Record 2
VCd3Cl8: theoretical XRD peak list (Cu Kα (weighted mean of Kα1 and Kα2)), based on a crystal structure in Alexandria, relaxed with GGA-PBE.
Kinematic intensities with the Lorentz-polarization factor, no thermal factor.

Cell and atoms:
a b c (Å): 7.709 7.709 7.765
angles (deg): 120.08 120.08 60.01
Element x y z (fractional)
V: 0.000 0.000 0.000
Cd: 0.000 0.500 0.000
Cd: 0.500 0.000 0.000
Cd: 0.500 0.500 0.000
Cl: 0.229 0.229 0.218
Cl: 0.229 0.762 0.218
Cl: 0.238 0.771 0.782
Cl: 0.256 0.256 0.770
Cl: 0.744 0.744 0.230
Cl: 0.762 0.229 0.218
Cl: 0.771 0.238 0.782
Cl: 0.771 0.771 0.782

Largest 10 diffraction maxima, by angle, 15 to 90 degrees two-theta:
| 2θ (°) | d [Å] | Rel. int. |
| --- | --- | --- |
| 27.1 | 3.288 | 83 |
| 32.7 | 2.736 | 100 |
| 32.9 | 2.722 | 50 |
| 35.9 | 2.503 | 23 |
| 42.9 | 2.109 | 30 |
| 46.8 | 1.941 | 16 |
| 47.0 | 1.932 | 31 |
| 47.2 | 1.927 | 50 |
| 49.4 | 1.845 | 27 |
| 58.7 | 1.573 | 16 |

Record 3
LiTi4O8: theoretical XRD peak list (Cu Kα (weighted mean of Kα1 and Kα2)), based on a crystal structure in Alexandria, relaxed with GGA-PBE.
Kinematic intensities with the Lorentz-polarization factor, no thermal factor.

Cell and atoms:
a b c (Å): 5.792 7.270 10.183
angles (deg): 78.79 88.45 85.70
Element x y z (fractional)
Li: 0.000 0.000 0.000
Li: 0.255 0.997 0.256
Li: 0.743 0.870 0.612
Ti: 0.006 0.447 0.927
Ti: 0.027 0.133 0.475
Ti: 0.231 0.744 0.632
Ti: 0.243 0.440 0.178
Ti: 0.263 0.121 0.726
Ti: 0.482 0.745 0.890
Ti: 0.495 0.434 0.434
Ti: 0.525 0.133 0.972
Ti: 0.717 0.739 0.143
Ti: 0.748 0.425 0.686
Ti: 0.758 0.124 0.234
Ti: 0.969 0.736 0.387
O: 0.025 0.297 0.780
O: 0.027 0.979 0.660
O: 0.048 0.230 0.281
O: 0.211 0.627 0.829
O: 0.213 0.563 0.338
O: 0.215 0.889 0.447
O: 0.277 0.297 0.030
O: 0.285 0.980 0.913
O: 0.291 0.242 0.536
O: 0.452 0.627 0.080
O: 0.461 0.889 0.701
O: 0.471 0.569 0.586
O: 0.524 0.301 0.278
O: 0.532 0.979 0.165
O: 0.535 0.243 0.783
O: 0.701 0.626 0.332
O: 0.718 0.891 0.953
O: 0.720 0.571 0.835
O: 0.780 0.304 0.526
O: 0.780 0.978 0.417
O: 0.796 0.230 0.034
O: 0.947 0.637 0.583
O: 0.963 0.566 0.088
O: 0.971 0.890 0.199

Largest 10 diffraction maxima, by angle, 15 to 90 degrees two-theta:
| 2θ (°) | d [Å] | Rel. int. |
| --- | --- | --- |
| 17.8 | 4.972 | 40 |
| 21.4 | 4.144 | 59 |
| 22.2 | 4.010 | 100 |
| 30.4 | 2.942 | 68 |
| 31.4 | 2.846 | 38 |
| 35.7 | 2.513 | 90 |
| 40.5 | 2.226 | 55 |
| 52.2 | 1.751 | 46 |
| 57.5 | 1.602 | 32 |
| 67.1 | 1.395 | 29 |